1.
# RbH6Br2N
Computed powder diffraction line list, CuKα. Input: DFT lattice parameters and positions (GGA-PBE).
Peak positions follow from Bragg's law for the DFT cell and can differ from measured ones.

Most intense lines, 2θ = 10–90°, in order of rising 2θ:
d 4.880, intensity 10
d 3.511, intensity 100
d 2.891, intensity 10
d 2.701, intensity 43
d 2.310, intensity 33
d 1.930, intensity 17
d 1.755, intensity 11
d 1.678, intensity 14
d 1.481, intensity 15
d 1.398, intensity 10

Atomic structure:
a b c (Å): 10.1174 10.1174 10.1174
angles (deg): 26.40 26.40 26.40
Positions (direct):
Rb: 0.0000 0.0000 0.0000
H: 0.2320 0.5798 0.5798
H: 0.5798 0.2320 0.5798
H: 0.5798 0.5798 0.2320
H: 0.7426 0.9497 0.9497
H: 0.9497 0.7426 0.9497
H: 0.9497 0.9497 0.7426
Br: 0.2369 0.2369 0.2369
Br: 0.7279 0.7279 0.7279
N: 0.4790 0.4790 0.4790

***

2.
# Ac2TmMgTe5
Computed powder diffraction line list, CuKα. Input: DFT lattice parameters and positions (GGA-PBE).
Peak positions follow from Bragg's law for the DFT cell and can differ from measured ones.

Most intense lines, 2θ = 10–90°, in order of rising 2θ:
d 4.144, intensity 9
d 3.692, intensity 10
d 3.255, intensity 13
d 3.164, intensity 100
d 2.946, intensity 14
d 2.709, intensity 31
d 2.643, intensity 9
d 2.478, intensity 9
d 2.244, intensity 28
d 1.832, intensity 12

Atomic structure:
a b c (Å): 10.0240 10.0240 13.7265
angles (deg): 90.00 90.00 154.11
Positions (direct):
Ac: 0.1144 0.8856 0.5000
Ac: 0.1327 0.8673 0.1242
Ac: 0.8673 0.1327 0.6242
Ac: 0.8856 0.1144 0.0000
Tm: 0.2016 0.7984 0.8300
Tm: 0.7984 0.2016 0.3300
Mg: 0.4427 0.5573 0.2673
Mg: 0.5573 0.4427 0.7673
Te: 0.0495 0.9505 0.8809
Te: 0.2863 0.7137 0.4809
Te: 0.3095 0.6905 0.1730
Te: 0.3574 0.6426 0.8160
Te: 0.4960 0.5040 0.5900
Te: 0.5040 0.4960 0.0900
Te: 0.6426 0.3574 0.3160
Te: 0.6905 0.3095 0.6730
Te: 0.7137 0.2863 0.9809
Te: 0.9505 0.0495 0.3809